No. 1
The following is a calculated X-ray diffraction stick pattern of In4CoIr. It was derived from a DFT-relaxed cell (GGA-PBE, OQMD), using Cu Kα (weighted mean of Kα1 and Kα2).
Peak positions follow from Bragg's law for the DFT cell and can differ from measured ones.

Structural model:
Cell: 10.502 4.036 5.927 Å, 90.00 90.00 90.00°
Space group Pmma (No. 51)
Symmetry-distinct sites (fractional):
1 In 0.000 0.000 0.000 x2
2 In 0.108 0.500 0.362 x4
3 In 0.250 0.500 0.829 x2
4 Co 0.250 0.000 0.562 x2
5 Ir 0.250 0.000 0.129 x2

Top 10 peaks for 5 to 70 degrees two-theta, most intense first:
38.66 deg, intensity 100, (1 1 2); 37.23 deg, intensity 69, (3 1 1); 26.72 deg, intensity 47, (0 1 1); 41.01 deg, intensity 40, (4 1 0); 44.92 deg, intensity 37, (0 2 0); 16.88 deg, intensity 36, (2 0 0); 37.46 deg, intensity 35, (4 0 1); 17.18 deg, intensity 25, (1 0 1); 39.86 deg, intensity 24, (3 0 2); 49.28 deg, intensity 21, (2 0 3)

***

No. 2
The following is a calculated X-ray diffraction stick pattern of CdIr7. It was derived from a DFT-relaxed cell (GGA-PBE, OQMD), using Cu Kα (weighted mean of Kα1 and Kα2).
Peak positions follow from Bragg's law for the DFT cell and can differ from measured ones.

Structural model:
Cell: 2.746 3.858 35.247 Å, 90.00 90.00 90.00°
Space group Pmmn (No. 59, origin choice 2)
Symmetry-distinct sites (fractional):
1 Cd 0.250 0.250 0.202 x2
2 Ir 0.250 0.250 0.286 x2
3 Ir 0.250 0.250 0.365 x2
4 Ir 0.250 0.250 0.442 x2
5 Ir 0.250 0.250 0.519 x2
6 Ir 0.250 0.250 0.597 x2
7 Ir 0.250 0.250 0.675 x2
8 Ir 0.250 0.250 0.751 x2

Top 10 peaks for 5 to 70 degrees two-theta, most intense first:
40.34 deg, intensity 100, (1 1 0); 47.12 deg, intensity 72, (0 2 0); 5.01 deg, intensity 72, (0 0 2); 40.67 deg, intensity 63, (0 1 13); 38.52 deg, intensity 30, (0 1 12); 68.82 deg, intensity 26, (1 2 13); 45.20 deg, intensity 20, (1 0 12); 7.52 deg, intensity 18, (0 0 3); 67.34 deg, intensity 12, (1 2 12); 10.04 deg, intensity 9, (0 0 4)

***

No. 3
The following is a calculated X-ray diffraction stick pattern of TaGe2PdO6. It was derived from a DFT-relaxed cell (GGA-PBE, OQMD), using Cu Kα (weighted mean of Kα1 and Kα2).
Peak positions follow from Bragg's law for the DFT cell and can differ from measured ones.

Structural model:
Cell: 7.940 7.940 7.940 Å, 90.00 90.00 90.00°
Space group Fm-3m (No. 225)
Symmetry-distinct sites (fractional):
1 Ta 0.000 0.000 0.000 x4
2 Ge 0.250 0.250 0.250 x8
3 Pd 0.000 0.000 0.500 x4
4 O 0.000 0.000 0.247 x24

Top 10 peaks for 5 to 70 degrees two-theta, most intense first:
31.88 deg, intensity 100, (2 2 0); 56.80 deg, intensity 40, (4 2 2); 45.70 deg, intensity 32, (4 0 0); 22.39 deg, intensity 22, (2 0 0); 66.63 deg, intensity 19, (4 4 0); 51.47 deg, intensity 9, (4 2 0); 19.36 deg, intensity 7, (1 1 1); 37.57 deg, intensity 4, (3 1 1); 50.07 deg, intensity 2, (3 3 1); 60.59 deg, intensity 1, (5 1 1)